1.
The following is a theoretical X-ray diffraction stick pattern of PuPaMn2O8. It was derived from a PBE+U-relaxed structure, using Cu Kα (weighted mean of Kα1 and Kα2).
Lines closer than 0.1° are merged.

Structure:
```
PuPaMn2O8
1.0
-3.409 3.409 3.548
3.409 -3.409 3.548
3.409 3.409 -3.548
Pu Pa Mn O
1 1 2 8
direct
0.000 0.000 0.000
0.750 0.250 0.500
0.250 0.750 0.500
0.500 0.500 0.000
0.043 0.345 0.302
0.043 0.741 0.698
0.112 0.302 0.810
0.259 0.957 0.302
0.491 0.302 0.190
0.655 0.957 0.698
0.698 0.509 0.810
0.698 0.888 0.190
```

The 8 most intense peaks (2θ from 10° to 80°), by angle:
2θ 18.04, I = 84.6
2θ 26.14, I = 96.7
2θ 31.30, I = 100.0
2θ 31.94, I = 26.3
2θ 37.30, I = 24.6
2θ 49.46, I = 70.8
2θ 58.66, I = 19.8
2θ 63.55, I = 19.5

---

2.
The following is a theoretical X-ray diffraction stick pattern of PuPaMnO6. It was derived from a PBE+U-relaxed structure, using Cu Kα (weighted mean of Kα1 and Kα2).
Lines closer than 0.1° are merged.

Structure:
```
PuPaMnO6
1.0
5.835 0.000 0.000
-2.918 5.053 0.000
0.000 0.000 8.900
Pu Pa Mn O
2 2 2 12
direct
0.333 0.667 0.250
0.667 0.333 0.750
0.333 0.667 0.750
0.667 0.333 0.250
0.000 0.000 0.000
0.000 0.000 0.500
0.006 0.348 0.134
0.006 0.658 0.366
0.342 0.348 0.366
0.342 0.994 0.134
0.348 0.006 0.634
0.348 0.342 0.866
0.652 0.658 0.134
0.652 0.994 0.366
0.658 0.006 0.866
0.658 0.652 0.634
0.994 0.342 0.634
0.994 0.652 0.866
```

The 8 most intense peaks (2θ from 10° to 80°), by angle:
2θ 17.55, I = 49.5
2θ 19.95, I = 68.5
2θ 26.69, I = 100.0
2θ 30.64, I = 92.1
2θ 36.84, I = 87.5
2θ 41.08, I = 31.7
2θ 51.67, I = 63.1
2θ 52.11, I = 32.1

---

3.
The following is a theoretical X-ray diffraction stick pattern of SrPaMnO6. It was derived from a PBE+U-relaxed structure, using Cu Kα (weighted mean of Kα1 and Kα2).
Lines closer than 0.1° are merged.

Structure:
```
SrPaMnO6
1.0
5.514 0.000 0.000
-2.757 4.775 0.000
0.000 0.000 4.773
Sr Pa Mn O
1 1 1 6
direct
0.000 0.000 0.000
0.667 0.333 0.500
0.333 0.667 0.000
0.022 0.404 0.236
0.022 0.618 0.764
0.382 0.404 0.764
0.382 0.978 0.236
0.596 0.618 0.236
0.596 0.978 0.764
```

The 8 most intense peaks (2θ from 10° to 80°), by angle:
2θ 18.58, I = 32.0
2θ 26.40, I = 100.0
2θ 32.48, I = 35.1
2θ 37.68, I = 16.3
2θ 42.33, I = 37.4
2θ 50.59, I = 37.2
2θ 54.35, I = 32.8
2θ 71.21, I = 16.1

---

4.
The following is a theoretical X-ray diffraction stick pattern of SrPaMnO5. It was derived from a PBE+U-relaxed structure, using Cu Kα (weighted mean of Kα1 and Kα2).
Lines closer than 0.1° are merged.

Structure:
```
SrPaMnO5
1.0
3.414 -4.997 0.000
3.414 4.997 0.000
-2.837 0.000 7.530
Sr Pa Mn O
2 2 2 10
direct
0.170 0.830 0.750
0.830 0.170 0.250
0.500 0.500 0.000
0.500 0.500 0.500
0.172 0.828 0.250
0.828 0.172 0.750
0.125 0.210 0.915
0.210 0.125 0.415
0.215 0.625 0.399
0.375 0.785 0.101
0.418 0.582 0.750
0.582 0.418 0.250
0.625 0.215 0.899
0.785 0.375 0.601
0.790 0.875 0.585
0.875 0.790 0.085
```

The 8 most intense peaks (2θ from 10° to 80°), by angle:
2θ 16.47, I = 70.4
2θ 24.50, I = 100.0
2θ 27.93, I = 59.4
2θ 29.71, I = 62.0
2θ 30.26, I = 72.0
2θ 32.83, I = 30.9
2θ 34.73, I = 27.9
2θ 43.47, I = 31.7

---

5.
The following is a theoretical X-ray diffraction stick pattern of PaMn2VO8. It was derived from a PBE+U-relaxed structure, using Cu Kα (weighted mean of Kα1 and Kα2).
Lines closer than 0.1° are merged.

Structure:
```
PaMn2VO8
1.0
3.243 -3.307 0.000
3.243 3.307 0.000
0.000 0.000 6.500
Pa Mn V O
1 2 1 8
direct
0.000 0.000 0.000
0.500 0.500 0.269
0.500 0.500 0.731
0.000 0.000 0.500
0.199 0.199 0.277
0.199 0.199 0.723
0.289 0.711 0.500
0.314 0.686 0.000
0.686 0.314 0.000
0.711 0.289 0.500
0.801 0.801 0.277
0.801 0.801 0.723
```

The 8 most intense peaks (2θ from 10° to 80°), by angle:
2θ 13.62, I = 36.6
2θ 19.16, I = 43.1
2θ 23.59, I = 64.9
2θ 26.96, I = 61.8
2θ 27.49, I = 68.6
2θ 33.69, I = 100.0
2θ 52.07, I = 41.3
2θ 52.69, I = 39.2

---

6.
The following is a theoretical X-ray diffraction stick pattern of YPaMn2O8. It was derived from a PBE+U-relaxed structure, using Cu Kα (weighted mean of Kα1 and Kα2).
Lines closer than 0.1° are merged.

Structure:
```
YPaMn2O8
1.0
-2.576 2.576 5.615
2.576 -2.576 5.615
2.576 2.576 -5.615
Y Pa Mn O
1 1 2 8
direct
0.000 0.000 0.000
0.750 0.250 0.500
0.250 0.750 0.500
0.500 0.500 0.000
0.000 0.965 0.614
0.035 0.649 0.034
0.182 0.256 0.595
0.351 0.386 0.386
0.414 0.818 0.074
0.614 0.000 0.966
0.660 0.586 0.405
0.744 0.340 0.926
```

The 8 most intense peaks (2θ from 10° to 80°), by angle:
2θ 18.95, I = 44.4
2θ 29.22, I = 100.0
2θ 31.88, I = 15.9
2θ 34.82, I = 18.9
2θ 39.94, I = 16.2
2θ 47.92, I = 29.4
2θ 55.17, I = 17.0
2θ 59.03, I = 28.0

---

7.
The following is a theoretical X-ray diffraction stick pattern of PaMnZn2O6. It was derived from a PBE+U-relaxed structure, using Cu Kα (weighted mean of Kα1 and Kα2).
Lines closer than 0.1° are merged.

Structure:
```
PaMnZn2O6
1.0
6.007 0.000 0.000
0.000 6.007 0.000
0.000 0.000 4.201
Pa Mn Zn O
1 1 2 6
direct
0.000 0.000 0.000
0.500 0.500 0.994
0.000 0.500 0.157
0.500 0.000 0.157
0.000 0.000 0.509
0.256 0.256 0.061
0.256 0.744 0.061
0.500 0.500 0.546
0.744 0.256 0.061
0.744 0.744 0.061
```

The 8 most intense peaks (2θ from 10° to 80°), by angle:
2θ 14.75, I = 67.2
2θ 21.15, I = 100.0
2θ 29.75, I = 75.4
2θ 29.92, I = 43.3
2θ 36.79, I = 44.7
2θ 42.57, I = 50.2
2θ 48.00, I = 44.1
2θ 48.34, I = 38.3

---

8.
The following is a theoretical X-ray diffraction stick pattern of ZrPaMn2O8. It was derived from a PBE+U-relaxed structure, using Cu Kα (weighted mean of Kα1 and Kα2).
Lines closer than 0.1° are merged.

Structure:
```
ZrPaMn2O8
1.0
-3.433 3.433 3.351
3.433 -3.433 3.351
3.433 3.433 -3.351
Zr Pa Mn O
1 1 2 8
direct
0.000 0.000 0.000
0.250 0.750 0.500
0.500 0.500 0.000
0.750 0.250 0.500
0.283 0.099 0.816
0.283 0.467 0.184
0.375 0.059 0.316
0.533 0.717 0.816
0.742 0.059 0.684
0.901 0.717 0.184
0.941 0.258 0.316
0.941 0.625 0.684
```

The 8 most intense peaks (2θ from 10° to 80°), by angle:
2θ 18.27, I = 17.9
2θ 18.50, I = 65.0
2θ 25.95, I = 100.0
2θ 32.06, I = 20.5
2θ 32.46, I = 80.5
2θ 37.03, I = 22.2
2θ 50.06, I = 66.3
2θ 63.88, I = 19.7